No. 1
Theoretical powder diffractogram
Compound: Tm8Te3Pb4
Radiation: λ = 1.5418 Å (Cu Kα)
Structure: a GGA-PBE-relaxed structure
No peak broadening, texture or thermal motion is included.

Largest 10 diffraction maxima, most intense first, 2θ = 10–90°:
2θ = 29.10°, I = 100.0; 2θ = 41.62°, I = 51.2; 2θ = 68.35°, I = 23.8; 2θ = 51.28°, I = 14.1; 2θ = 51.91°, I = 13.5; 2θ = 41.27°, I = 13.2; 2θ = 60.33°, I = 12.9; 2θ = 42.00°, I = 12.4; 2θ = 75.47°, I = 9.1; 2θ = 76.48°, I = 8.6

Atomic structure:
Lattice parameters (Å, degrees): 8.678 8.678 8.604 119.68 119.68 90.06
Fractional positions:
Tm (0.248, 0.752, 0.000)
Tm (0.249, 0.249, 0.000)
Tm (0.250, 0.250, 0.491)
Tm (0.252, 0.748, 0.500)
Tm (0.748, 0.252, 0.500)
Tm (0.750, 0.750, 0.509)
Tm (0.751, 0.751, 0.000)
Tm (0.752, 0.248, 0.000)
Te (0.000, 0.500, 0.500)
Te (0.500, 0.000, 0.500)
Te (0.500, 0.500, 0.000)
Pb (0.000, 0.000, 0.000)
Pb (0.000, 0.500, 0.000)
Pb (0.500, 0.000, 0.000)
Pb (0.500, 0.500, 0.500)

No. 2
Theoretical powder diffractogram
Compound: Tm4Te2Pb
Radiation: λ = 1.5418 Å (Cu Kα)
Structure: a GGA-PBE-relaxed structure
No peak broadening, texture or thermal motion is included.

Largest 10 diffraction maxima, most intense first, 2θ = 10–90°:
2θ = 30.40°, I = 100.0; 2θ = 35.55°, I = 96.2; 2θ = 35.34°, I = 83.8; 2θ = 29.75°, I = 56.9; 2θ = 40.25°, I = 31.1; 2θ = 26.48°, I = 29.5; 2θ = 13.15°, I = 17.8; 2θ = 58.89°, I = 17.7; 2θ = 44.87°, I = 17.6; 2θ = 37.80°, I = 17.4

Atomic structure:
Lattice parameters (Å, degrees): 8.175 8.175 8.175 108.78 108.78 110.87
Fractional positions:
Tm (0.006, 0.753, 0.638)
Tm (0.115, 0.368, 0.362)
Tm (0.118, 0.256, 0.753)
Tm (0.247, 0.994, 0.362)
Tm (0.503, 0.365, 0.247)
Tm (0.632, 0.885, 0.638)
Tm (0.635, 0.497, 0.753)
Tm (0.744, 0.882, 0.247)
Te (0.325, 0.625, 0.200)
Te (0.375, 0.675, 0.800)
Te (0.425, 0.125, 0.800)
Te (0.875, 0.575, 0.200)
Pb (0.000, 0.000, 0.000)
Pb (0.750, 0.250, 0.500)

No. 3
Theoretical powder diffractogram
Compound: Tm5Te4Pb
Radiation: λ = 1.5418 Å (Cu Kα)
Structure: a GGA-PBE-relaxed structure
No peak broadening, texture or thermal motion is included.

Largest 10 diffraction maxima, most intense first, 2θ = 10–90°:
2θ = 29.12°, I = 100.0; 2θ = 41.76°, I = 75.9; 2θ = 29.26°, I = 49.6; 2θ = 51.72°, I = 40.8; 2θ = 41.66°, I = 38.2; 2θ = 68.45°, I = 34.7; 2θ = 76.10°, I = 25.7; 2θ = 68.70°, I = 17.4; 2θ = 76.31°, I = 13.0; 2θ = 60.38°, I = 12.6

Atomic structure:
Lattice parameters (Å, degrees): 7.505 7.505 7.505 99.52 99.52 132.01
Fractional positions:
Tm (0.000, 0.000, 0.000)
Tm (0.205, 0.600, 0.808)
Tm (0.397, 0.205, 0.605)
Tm (0.600, 0.792, 0.395)
Tm (0.792, 0.397, 0.192)
Te (0.096, 0.302, 0.400)
Te (0.302, 0.902, 0.206)
Te (0.695, 0.096, 0.794)
Te (0.902, 0.695, 0.600)
Pb (0.500, 0.500, 0.000)

No. 4
Theoretical powder diffractogram
Compound: Y3Te2Pb
Radiation: λ = 1.5418 Å (Cu Kα)
Structure: a GGA-PBE-relaxed structure
No peak broadening, texture or thermal motion is included.

Largest 10 diffraction maxima, most intense first, 2θ = 10–90°:
2θ = 28.66°, I = 100.0; 2θ = 41.00°, I = 50.5; 2θ = 67.24°, I = 23.2; 2θ = 50.62°, I = 13.9; 2θ = 50.93°, I = 13.3; 2θ = 40.77°, I = 12.8; 2θ = 74.86°, I = 12.5; 2θ = 41.13°, I = 12.4; 2θ = 74.38°, I = 8.6; 2θ = 59.31°, I = 8.4

Atomic structure:
Lattice parameters (Å, degrees): 7.610 7.610 7.610 146.19 131.76 60.21
Fractional positions:
Y (0.000, 0.000, 0.000)
Y (0.338, 0.338, 0.000)
Y (0.662, 0.662, 0.000)
Te (0.168, 0.668, 0.500)
Te (0.832, 0.332, 0.500)
Pb (0.500, 0.000, 0.500)

No. 5
Theoretical powder diffractogram
Compound: Y4TePb3
Radiation: λ = 1.5418 Å (Cu Kα)
Structure: a GGA-PBE-relaxed structure
No peak broadening, texture or thermal motion is included.

Largest 10 diffraction maxima, most intense first, 2θ = 10–90°:
2θ = 28.80°, I = 100.0; 2θ = 28.62°, I = 50.9; 2θ = 38.93°, I = 44.8; 2θ = 43.10°, I = 33.7; 2θ = 48.04°, I = 24.8; 2θ = 37.74°, I = 24.4; 2θ = 23.49°, I = 18.0; 2θ = 44.41°, I = 15.4; 2θ = 59.66°, I = 12.8; 2θ = 62.74°, I = 12.5

Atomic structure:
Lattice parameters (Å, degrees): 7.891 7.891 4.113 95.84 95.84 74.33
Fractional positions:
Y (0.246, 0.754, 0.000)
Y (0.250, 0.250, 0.512)
Y (0.750, 0.750, 0.488)
Y (0.754, 0.246, 0.000)
Te (0.000, 0.000, 0.500)
Pb (0.000, 0.500, 0.000)
Pb (0.500, 0.000, 0.000)
Pb (0.500, 0.500, 0.500)

No. 6
Theoretical powder diffractogram
Compound: ZrTePb2
Radiation: λ = 1.5418 Å (Cu Kα)
Structure: a GGA-PBE-relaxed structure
No peak broadening, texture or thermal motion is included.

Largest 10 diffraction maxima, most intense first, 2θ = 10–90°:
2θ = 33.15°, I = 100.0; 2θ = 32.24°, I = 23.9; 2θ = 36.67°, I = 19.8; 2θ = 63.80°, I = 15.4; 2θ = 58.07°, I = 14.8; 2θ = 49.61°, I = 14.5; 2θ = 15.96°, I = 11.0; 2θ = 45.48°, I = 10.9; 2θ = 69.57°, I = 10.6; 2θ = 59.78°, I = 9.7

Atomic structure:
Lattice parameters (Å, degrees): 6.389 6.389 6.389 143.62 134.89 59.28
Fractional positions:
Zr (0.000, 0.000, 0.000)
Te (0.500, 0.500, 0.000)
Pb (0.231, 0.731, 0.500)
Pb (0.769, 0.269, 0.500)

No. 7
Theoretical powder diffractogram
Compound: Th5Pb3
Radiation: λ = 1.5418 Å (Cu Kα)
Structure: a GGA-PBE-relaxed structure
No peak broadening, texture or thermal motion is included.

Largest 10 diffraction maxima, most intense first, 2θ = 10–90°:
2θ = 31.76°, I = 100.0; 2θ = 33.34°, I = 84.4; 2θ = 32.47°, I = 59.9; 2θ = 28.55°, I = 29.3; 2θ = 51.30°, I = 26.9; 2θ = 47.23°, I = 22.9; 2θ = 27.44°, I = 17.9; 2θ = 63.04°, I = 16.0; 2θ = 66.82°, I = 15.7; 2θ = 50.07°, I = 15.2

Atomic structure:
Lattice parameters (Å, degrees): 9.553 9.553 6.501 90.00 90.00 120.00
Fractional positions:
Th (0.000, 0.251, 0.250)
Th (0.000, 0.749, 0.750)
Th (0.251, 0.000, 0.250)
Th (0.251, 0.251, 0.750)
Th (0.333, 0.667, 0.000)
Th (0.333, 0.667, 0.500)
Th (0.667, 0.333, 0.000)
Th (0.667, 0.333, 0.500)
Th (0.749, 0.000, 0.750)
Th (0.749, 0.749, 0.250)
Pb (0.000, 0.388, 0.750)
Pb (0.000, 0.612, 0.250)
Pb (0.388, 0.000, 0.750)
Pb (0.388, 0.388, 0.250)
Pb (0.612, 0.000, 0.250)
Pb (0.612, 0.612, 0.750)

No. 8
Theoretical powder diffractogram
Compound: Th2Pb5
Radiation: λ = 1.5418 Å (Cu Kα)
Structure: a GGA-PBE-relaxed structure
No peak broadening, texture or thermal motion is included.

Largest 10 diffraction maxima, most intense first, 2θ = 10–90°:
2θ = 32.38°, I = 100.0; 2θ = 31.40°, I = 78.7; 2θ = 36.11°, I = 59.3; 2θ = 63.78°, I = 47.5; 2θ = 33.34°, I = 37.8; 2θ = 38.70°, I = 33.9; 2θ = 34.30°, I = 28.8; 2θ = 30.38°, I = 26.1; 2θ = 58.38°, I = 23.2; 2θ = 60.81°, I = 19.1

Atomic structure:
Lattice parameters (Å, degrees): 11.400 11.400 3.436 90.00 90.00 90.00
Fractional positions:
Th (0.183, 0.317, 0.000)
Th (0.317, 0.817, 0.000)
Th (0.683, 0.183, 0.000)
Th (0.817, 0.683, 0.000)
Pb (0.000, 0.500, 0.500)
Pb (0.060, 0.786, 0.500)
Pb (0.214, 0.060, 0.500)
Pb (0.286, 0.560, 0.500)
Pb (0.440, 0.286, 0.500)
Pb (0.500, 0.000, 0.500)
Pb (0.560, 0.714, 0.500)
Pb (0.714, 0.440, 0.500)
Pb (0.786, 0.940, 0.500)
Pb (0.940, 0.214, 0.500)

No. 9
Theoretical powder diffractogram
Compound: ThTiPb
Radiation: λ = 1.5418 Å (Cu Kα)
Structure: a GGA-PBE-relaxed structure
No peak broadening, texture or thermal motion is included.

Largest 10 diffraction maxima, most intense first, 2θ = 10–90°:
2θ = 31.72°, I = 100.0; 2θ = 35.92°, I = 58.0; 2θ = 48.66°, I = 31.2; 2θ = 61.95°, I = 30.7; 2θ = 20.51°, I = 27.7; 2θ = 62.22°, I = 24.0; 2θ = 84.84°, I = 13.4; 2θ = 64.57°, I = 10.7; 2θ = 85.08°, I = 10.4; 2θ = 48.99°, I = 8.1

Atomic structure:
Lattice parameters (Å, degrees): 5.000 5.000 3.719 90.00 90.00 120.00
Fractional positions:
Th (0.000, 0.000, 0.000)
Ti (0.667, 0.333, 0.500)
Pb (0.333, 0.667, 0.500)

No. 10
Theoretical powder diffractogram
Compound: Th6Tl5Pb
Radiation: λ = 1.5418 Å (Cu Kα)
Structure: a GGA-PBE-relaxed structure
No peak broadening, texture or thermal motion is included.

Largest 10 diffraction maxima, most intense first, 2θ = 10–90°:
2θ = 31.70°, I = 100.0; 2θ = 53.81°, I = 23.2; 2θ = 35.58°, I = 18.5; 2θ = 35.69°, I = 18.3; 2θ = 61.49°, I = 15.6; 2θ = 61.63°, I = 15.6; 2θ = 38.95°, I = 14.5; 2θ = 51.28°, I = 13.4; 2θ = 66.03°, I = 12.7; 2θ = 66.22°, I = 12.6

Atomic structure:
Lattice parameters (Å, degrees): 7.976 7.976 9.250 90.00 90.00 143.23
Fractional positions:
Th (0.000, 0.000, 0.249)
Th (0.000, 0.000, 0.751)
Th (0.333, 0.667, 0.249)
Th (0.333, 0.667, 0.751)
Th (0.667, 0.333, 0.249)
Th (0.667, 0.333, 0.751)
Tl (0.166, 0.834, 0.000)
Tl (0.169, 0.831, 0.500)
Tl (0.500, 0.500, 0.000)
Tl (0.831, 0.169, 0.500)
Tl (0.834, 0.166, 0.000)
Pb (0.500, 0.500, 0.500)

No. 11
Theoretical powder diffractogram
Compound: Th2TlPb4
Radiation: λ = 1.5418 Å (Cu Kα)
Structure: a GGA-PBE-relaxed structure
No peak broadening, texture or thermal motion is included.

Largest 10 diffraction maxima, most intense first, 2θ = 10–90°:
2θ = 32.21°, I = 100.0; 2θ = 54.18°, I = 23.7; 2θ = 36.87°, I = 17.5; 2θ = 37.00°, I = 17.4; 2θ = 38.19°, I = 16.0; 2θ = 63.51°, I = 14.9; 2θ = 63.68°, I = 14.7; 2θ = 65.28°, I = 13.7; 2θ = 67.38°, I = 12.5; 2θ = 53.23°, I = 12.5

Atomic structure:
Lattice parameters (Å, degrees): 6.883 6.781 6.770 61.05 59.56 59.39
Fractional positions:
Th (0.000, 0.500, 0.500)
Th (0.500, 0.000, 0.000)
Tl (0.000, 0.000, 0.000)
Pb (0.000, 0.000, 0.500)
Pb (0.000, 0.500, 0.000)
Pb (0.500, 0.000, 0.500)
Pb (0.500, 0.500, 0.000)

No. 12
Theoretical powder diffractogram
Compound: TmThPb
Radiation: λ = 1.5418 Å (Cu Kα)
Structure: a GGA-PBE-relaxed structure
No peak broadening, texture or thermal motion is included.

Largest 10 diffraction maxima, most intense first, 2θ = 10–90°:
2θ = 29.52°, I = 100.0; 2θ = 34.56°, I = 97.5; 2θ = 39.50°, I = 58.3; 2θ = 50.84°, I = 47.3; 2θ = 30.69°, I = 47.0; 2θ = 68.49°, I = 27.9; 2θ = 66.23°, I = 21.7; 2θ = 65.58°, I = 21.5; 2θ = 57.10°, I = 20.3; 2θ = 60.22°, I = 19.8

Atomic structure:
Lattice parameters (Å, degrees): 9.315 9.315 9.315 151.65 151.65 40.53
Fractional positions:
Tm (0.173, 0.173, 0.000)
Tm (0.827, 0.827, 0.000)
Th (0.000, 0.500, 0.500)
Th (0.500, 0.000, 0.500)
Pb (0.352, 0.352, 0.000)
Pb (0.648, 0.648, 0.000)

No. 13
Theoretical powder diffractogram
Compound: TmTh6Pb10
Radiation: λ = 1.5418 Å (Cu Kα)
Structure: a GGA-PBE-relaxed structure
No peak broadening, texture or thermal motion is included.

Largest 10 diffraction maxima, most intense first, 2θ = 10–90°:
2θ = 33.47°, I = 100.0; 2θ = 31.51°, I = 92.6; 2θ = 32.07°, I = 80.0; 2θ = 47.04°, I = 25.9; 2θ = 41.34°, I = 22.1; 2θ = 51.49°, I = 20.5; 2θ = 67.20°, I = 17.9; 2θ = 49.53°, I = 15.4; 2θ = 28.20°, I = 14.4; 2θ = 27.74°, I = 14.4

Atomic structure:
Lattice parameters (Å, degrees): 9.667 9.667 6.431 90.00 90.00 120.00
Fractional positions:
Tm (0.000, 0.000, 0.000)
Th (0.000, 0.388, 0.757)
Th (0.000, 0.612, 0.243)
Th (0.388, 0.000, 0.757)
Th (0.388, 0.388, 0.243)
Th (0.612, 0.000, 0.243)
Th (0.612, 0.612, 0.757)
Pb (0.000, 0.260, 0.276)
Pb (0.000, 0.740, 0.724)
Pb (0.260, 0.000, 0.276)
Pb (0.260, 0.260, 0.724)
Pb (0.333, 0.667, 0.000)
Pb (0.333, 0.667, 0.500)
Pb (0.667, 0.333, 0.000)
Pb (0.667, 0.333, 0.500)
Pb (0.740, 0.000, 0.724)
Pb (0.740, 0.740, 0.276)

No. 14
Theoretical powder diffractogram
Compound: Tm4ThPb5
Radiation: λ = 1.5418 Å (Cu Kα)
Structure: a GGA-PBE-relaxed structure
No peak broadening, texture or thermal motion is included.

Largest 10 diffraction maxima, most intense first, 2θ = 10–90°:
2θ = 32.28°, I = 100.0; 2θ = 35.79°, I = 38.6; 2θ = 62.11°, I = 31.7; 2θ = 55.20°, I = 21.4; 2θ = 51.51°, I = 13.9; 2θ = 40.58°, I = 13.0; 2θ = 67.55°, I = 11.8; 2θ = 68.62°, I = 10.5; 2θ = 86.80°, I = 7.2; 2θ = 84.83°, I = 7.0

Atomic structure:
Lattice parameters (Å, degrees): 3.548 3.548 22.234 90.00 90.00 90.00
Fractional positions:
Tm (0.000, 0.000, 0.098)
Tm (0.000, 0.000, 0.296)
Tm (0.000, 0.000, 0.704)
Tm (0.000, 0.000, 0.902)
Th (0.000, 0.000, 0.500)
Pb (0.500, 0.500, 0.000)
Pb (0.500, 0.500, 0.197)
Pb (0.500, 0.500, 0.393)
Pb (0.500, 0.500, 0.607)
Pb (0.500, 0.500, 0.803)